Starting from a structure optimized by DFT (PBE+U), the powder diffractogram of NdCdMoO6 was calculated for CuKα.
Peak positions follow from Bragg's law for the DFT cell and can differ from measured ones.

The 10 most intense peaks (15° ≤ 2θ ≤ 90°), sorted by position:
2θ = 19.10°, 4.647 Å, intensity 13; 2θ = 26.30°, 3.389 Å, intensity 100; 2θ = 31.27°, 2.860 Å, intensity 54; 2θ = 36.90°, 2.436 Å, intensity 15; 2θ = 41.30°, 2.186 Å, intensity 29; 2θ = 50.62°, 1.803 Å, intensity 44; 2θ = 52.70°, 1.737 Å, intensity 29; 2θ = 55.66°, 1.651 Å, intensity 18; 2θ = 71.62°, 1.318 Å, intensity 11; 2θ = 78.54°, 1.218 Å, intensity 11

Crystal structure
Cell: 5.7207 5.7207 4.6468 Å, 90.00 90.00 120.00°
Fractional coordinates of all 9 atoms:
1 Nd 0.0000 0.0000 0.0000
2 Cd 0.6667 0.3333 0.5000
3 Mo 0.3333 0.6667 0.0000
4 O 0.0433 0.3867 0.2302
5 O 0.0433 0.6566 0.7698
6 O 0.3434 0.3867 0.7698
7 O 0.3434 0.9567 0.2302
8 O 0.6133 0.6566 0.2302
9 O 0.6133 0.9567 0.7698